1.
Structure and calculated X-ray powder pattern of PrTi2Al20 (a crystal structure in the Materials Project, relaxed with GGA-PBE; Cu Ka).
Neutral-atom scattering factors, no anomalous dispersion.

Largest 8 diffraction maxima, sorted by position, 15° ≤ 2θ ≤ 90°:
(2 2 0), 2θ 17.0, rel. 50
(3 1 1), 2θ 20.0, rel. 77
(4 4 0), 2θ 34.4, rel. 42
(5 3 1), 2θ 36.1, rel. 100
(6 2 0), 2θ 38.7, rel. 65
(5 3 3), 2θ 40.1, rel. 89
(6 2 2), 2θ 40.6, rel. 64
(6 6 0), 2θ 52.7, rel. 43

Structure:
abc: 14.7298 14.7298 14.7298
angles: 90.00 90.00 90.00
Space group Fd-3m (No. 227, origin choice 2)
Unique sites:
Pr1 0.1250 0.1250 0.1250 [8 per cell]
Ti1 0.0000 0.0000 0.5000 [16 per cell]
Al1 0.0000 0.0000 0.0000 [16 per cell]
Al2 0.0117 0.3750 0.8750 [48 per cell]
Al3 0.0589 0.0589 0.3259 [96 per cell]

---

2.
Structure and calculated X-ray powder pattern of La15FeGe9 (a crystal structure in the Materials Project, relaxed with GGA-PBE; Cu Ka).
Neutral-atom scattering factors, no anomalous dispersion.

Largest 8 diffraction maxima, sorted by position, 15° ≤ 2θ ≤ 90°:
(1 1 2), 2θ 27.7, rel. 24
(4 1 0), 2θ 30.3, rel. 31
(3 0 2), 2θ 32.2, rel. 94
(4 1 1), 2θ 32.9, rel. 100
(3 3 0), 2θ 34.5, rel. 39
(6 0 2), 2θ 47.9, rel. 20
(4 1 3), 2θ 49.6, rel. 25
(4 4 2), 2θ 53.7, rel. 17

Structure:
```
data_La15FeGe9
_space_group_name_H-M_alt 'P 63 m c'
_space_group_IT_number 186
_space_group_name_Hall 'P 6c -2c'
_cell_length_a 15.6060
_cell_length_b 15.6060
_cell_length_c 7.0599
_cell_angle_alpha 90.00
_cell_angle_beta 90.00
_cell_angle_gamma 120.00
loop_
_atom_site_label
_atom_site_fract_x
_atom_site_fract_y
_atom_site_fract_z
_atom_site_occupancy
La1 0.0198 0.3441 0.0000 1
La2 0.0824 0.1649 0.2786 1
La3 0.1702 0.5851 0.2598 1
La4 0.2518 0.5037 0.7160 1
Fe1 0.3333 0.6667 0.4847 1
Ge1 0.0648 0.5324 0.7382 1
Ge2 0.1312 0.2625 0.7215 1
Ge3 0.1980 0.3961 0.2879 1
```

---

3.
Structure and calculated X-ray powder pattern of CuCl4 (a crystal structure in the Materials Project, relaxed with GGA-PBE; Cu Ka).
Neutral-atom scattering factors, no anomalous dispersion.

Largest 8 diffraction maxima, sorted by position, 15° ≤ 2θ ≤ 90°:
(1 0 1), 2θ 20.1, rel. 58
(1 1 0), 2θ 25.9, rel. 15
(1 1 2), 2θ 31.1, rel. 100
(1 0 3), 2θ 31.6, rel. 17
(2 1 1), 2θ 42.4, rel. 15
(2 0 4), 2θ 51.3, rel. 37
(2 2 0), 2θ 53.3, rel. 16
(3 1 2), 2θ 63.0, rel. 21

Structure:
```
data_CuCl4
_space_group_name_H-M_alt 'I -4 2 m'
_space_group_IT_number 121
_space_group_name_Hall 'I -4 2'
_cell_length_a 4.8651
_cell_length_b 4.8651
_cell_length_c 10.4692
_cell_angle_alpha 90.00
_cell_angle_beta 90.00
_cell_angle_gamma 90.00
loop_
_atom_site_label
_atom_site_fract_x
_atom_site_fract_y
_atom_site_fract_z
_atom_site_occupancy
Cu1 0.0000 0.0000 0.0000 1
Cl1 0.2478 0.2478 0.8690 1
```

---

4.
Structure and calculated X-ray powder pattern of Ce2Cu5Ni5 (a crystal structure in the Materials Project, relaxed with GGA-PBE; Cu Ka).
Neutral-atom scattering factors, no anomalous dispersion.

Largest 8 diffraction maxima, sorted by position, 15° ≤ 2θ ≤ 90°:
(1 1 1), 2θ 30.6, rel. 59
(0 1 3), 2θ 35.9, rel. 31
(0 2 2), 2θ 41.6, rel. 33
(1 2 0), 2θ 42.7, rel. 49
(1 1 3), 2θ 42.8, rel. 100
(2 0 0), 2θ 46.0, rel. 38
(1 3 3), 2θ 69.1, rel. 22
(3 1 3), 2θ 82.9, rel. 23

Structure:
```
data_Ce2Cu5Ni5
_space_group_name_H-M_alt 'P m m m'
_space_group_IT_number 47
_space_group_name_Hall '-P 2 2'
_cell_length_a 3.9438
_cell_length_b 5.0265
_cell_length_c 8.6534
_cell_angle_alpha 90.00
_cell_angle_beta 90.00
_cell_angle_gamma 90.00
loop_
_atom_site_label
_atom_site_fract_x
_atom_site_fract_y
_atom_site_fract_z
_atom_site_occupancy
Ce1 0.0000 0.0000 0.0000 1
Ce2 0.0000 0.5000 0.5000 1
Cu1 0.0000 0.0000 0.3322 1
Cu2 0.0000 0.5000 0.1670 1
Cu3 0.5000 0.0000 0.5000 1
Ni1 0.5000 0.2513 0.2494 1
Ni2 0.5000 0.5000 0.0000 1
```

---

5.
Structure and calculated X-ray powder pattern of AlAgB (a crystal structure in the Materials Project, relaxed with GGA-PBE; Cu Ka).
Neutral-atom scattering factors, no anomalous dispersion.

Largest 8 diffraction maxima, sorted by position, 15° ≤ 2θ ≤ 90°:
(1 1 1), 2θ 27.1, rel. 100
(2 0 0), 2θ 31.4, rel. 39
(2 2 0), 2θ 45.0, rel. 69
(3 1 1), 2θ 53.4, rel. 45
(3 3 1), 2θ 72.4, rel. 17
(4 2 0), 2θ 74.6, rel. 11
(4 2 2), 2θ 83.1, rel. 22
(5 1 1), 2θ 89.5, rel. 14

Structure:
```
data_AlAgB
_space_group_name_H-M_alt 'F -4 3 m'
_space_group_IT_number 216
_space_group_name_Hall 'F -4 2 3'
_cell_length_a 5.6924
_cell_length_b 5.6924
_cell_length_c 5.6924
_cell_angle_alpha 90.00
_cell_angle_beta 90.00
_cell_angle_gamma 90.00
loop_
_atom_site_label
_atom_site_fract_x
_atom_site_fract_y
_atom_site_fract_z
_atom_site_occupancy
Al1 0.0000 0.0000 0.0000 1
Ag1 0.2500 0.2500 0.2500 1
B1 0.2500 0.2500 0.7500 1
```

---

6.
Structure and calculated X-ray powder pattern of Tb2Fe17C2 (a crystal structure in the Materials Project, relaxed with GGA-PBE; Cu Ka).
Neutral-atom scattering factors, no anomalous dispersion.

Largest 8 diffraction maxima, sorted by position, 15° ≤ 2θ ≤ 90°:
(1 1 -2), 2θ 29.9, rel. 43
(1 3 1), 2θ 36.1, rel. 42
(4 0 0), 2θ 37.7, rel. 46
(2 2 2), 2θ 41.8, rel. 72
(0 4 0), 2θ 42.0, rel. 35
(0 0 3), 2θ 42.2, rel. 48
(3 3 0), 2θ 42.4, rel. 100
(4 0 -2), 2θ 43.7, rel. 57

Structure:
```
data_Tb2Fe17C2
_space_group_name_H-M_alt 'C 1 2/m 1'
_space_group_IT_number 12
_space_group_name_Hall '-C 2y'
_cell_length_a 9.6664
_cell_length_b 8.6072
_cell_length_c 6.5007
_cell_angle_alpha 90.00
_cell_angle_beta 98.49
_cell_angle_gamma 90.00
loop_
_atom_site_label
_atom_site_fract_x
_atom_site_fract_y
_atom_site_fract_z
_atom_site_occupancy
Tb1 0.1528 0.0000 0.3354 1
Fe1 0.0000 0.2147 0.0000 1
Fe2 0.0000 0.5000 0.5000 1
Fe3 0.0967 0.5000 0.9036 1
Fe4 0.0985 0.2547 0.6581 1
Fe5 0.1439 0.3579 0.2860 1
Fe6 0.1553 0.0000 0.8548 1
Fe7 0.2500 0.2500 0.0000 1
C1 0.2500 0.2500 0.5000 1
```